Diffraction record for Co5Te6. The XRD peak list is calculated, not measured: it uses a cell relaxed with GGA-PBE and a wavelength of 1.5418 Å.

Top 12 peaks for 2θ from 10° to 90°, by angle:
31.35°, d = 2.853 Å, I 100; 33.54°, d = 2.672 Å, I 6; 43.19°, d = 2.095 Å, I 46; 46.62°, d = 1.948 Å, I 44; 57.26°, d = 1.609 Å, I 18; 58.62°, d = 1.575 Å, I 24; 65.42°, d = 1.427 Å, I 13; 76.84°, d = 1.241 Å, I 15; 78.01°, d = 1.225 Å, I 7; 84.10°, d = 1.151 Å, I 12; 86.54°, d = 1.125 Å, I 7; 88.81°, d = 1.102 Å, I 13

Structural model:
Lattice parameters (Å, degrees): 6.6133 6.6133 6.6133 61.36 61.36 61.36
Element x y z (fractional)
Co  0.0000  0.0000  0.0000
Co  0.1672  0.1672  0.1672
Co  0.3378  0.3378  0.3378
Co  0.6622  0.6622  0.6622
Co  0.8328  0.8328  0.8328
Te  0.0774  0.7485  0.4172
Te  0.2515  0.5828  0.9226
Te  0.4172  0.0774  0.7485
Te  0.5828  0.9226  0.2515
Te  0.7485  0.4172  0.0774
Te  0.9226  0.2515  0.5828

***

Diffraction record for Cr5InS8. The XRD peak list is calculated, not measured: it uses a cell relaxed with GGA-PBE and a wavelength of 1.5418 Å.

Top 12 peaks for 2θ from 10° to 90°, by angle:
20.35°, d = 4.363 Å, I 71; 21.22°, d = 4.188 Å, I 44; 25.88°, d = 3.443 Å, I 28; 30.40°, d = 2.940 Å, I 28; 32.59°, d = 2.747 Å, I 45; 33.16°, d = 2.702 Å, I 100; 34.48°, d = 2.601 Å, I 50; 41.21°, d = 2.191 Å, I 63; 42.18°, d = 2.143 Å, I 28; 46.38°, d = 1.958 Å, I 29; 47.45°, d = 1.916 Å, I 46; 52.61°, d = 1.740 Å, I 91

Structural model:
Lattice parameters (Å, degrees): 9.2051 9.2051 8.6738 104.79 104.79 21.80
Element x y z (fractional)
Cr  0.0000  0.0000  0.0000
Cr  0.0451  0.0451  0.3602
Cr  0.3406  0.3406  0.0261
Cr  0.6381  0.6381  0.6912
Cr  0.6836  0.6836  0.0535
In  0.8596  0.8596  0.5340
S  0.1042  0.1042  0.8713
S  0.1688  0.1688  0.5365
S  0.2565  0.2565  0.1996
S  0.4265  0.4265  0.8534
S  0.5130  0.5130  0.5153
S  0.5790  0.5790  0.1824
S  0.7647  0.7647  0.8756
S  0.9173  0.9173  0.1756